Starting from a structure optimized by DFT (GGA-PBE), the XRD peak list of Sn4Pb3Se8 was calculated for Cu Kα.

Crystal structure
a = 12.1897 Å, b = 12.1954 Å, c = 8.5877 Å
α = 90.00°, β = 134.77°, γ = 90.00°
Space group C2/m (No. 12)
Unique sites:
Sn (0.0000, 0.0000, 0.0000) [2 per cell]
Sn (0.0000, 0.0000, 0.5000) [2 per cell]
Sn (0.2500, 0.2500, 0.0000) [4 per cell]
Pb (0.0000, 0.5000, 0.0000) [2 per cell]
Pb (0.2500, 0.2500, 0.5000) [4 per cell]
Se (0.0000, 0.2287, 0.5000) [4 per cell]
Se (0.0000, 0.2473, 0.0000) [4 per cell]
Se (0.2252, 0.0000, 0.4951) [4 per cell]
Se (0.2278, 0.0000, 0.9602) [4 per cell]

Largest 6 diffraction maxima, sorted by position, 2θ = 10–90°:
hkl 1 1 -1, 2θ = 12.6°, I = 13; hkl 0 0 2, 2θ = 29.3°, I = 100; hkl 0 4 2, 2θ = 41.9°, I = 50; hkl 4 4 0, 2θ = 51.8°, I = 13; hkl 4 4 -4, 2θ = 52.1°, I = 13; hkl 0 4 4, 2θ = 68.9°, I = 22